# Rb2NaGeP2
Calculated powder diffraction line list, copper Kα. Input: a cell relaxed with PBE.
Intensities are scaled so that the largest is 100.

Most intense lines, 2θ = 10–90°, in order of falling intensity:
29.9 deg, intensity 100, hkl 1 4 1
38.1 deg, intensity 60, hkl 2 0 2
28.6 deg, intensity 39, hkl 2 2 0
29.6 deg, intensity 34, hkl 0 2 2
22.1 deg, intensity 34, hkl 1 2 1
49.8 deg, intensity 26, hkl 1 4 3
14.2 deg, intensity 25, hkl 1 1 0
35.1 deg, intensity 24, hkl 2 4 0
36.0 deg, intensity 24, hkl 0 4 2
48.5 deg, intensity 21, hkl 3 4 1

Crystal structure
Cell: 6.822 15.401 6.561 Å, 90.00 90.00 90.00°
Space group Ibam (No. 72)
Symmetry-distinct sites (fractional):
Rb (0.241, 0.175, 0.000)
Na (0.000, 0.000, 0.250)
Ge (0.000, 0.500, 0.250)
P (0.205, 0.412, 0.000)

# PmIrW
Calculated powder diffraction line list, copper Kα. Input: a cell relaxed with PBE.
Intensities are scaled so that the largest is 100.

Most intense lines, 2θ = 10–90°, in order of falling intensity:
37.9 deg, intensity 100, hkl 1 0 7
39.4 deg, intensity 56, hkl 1 1 0
70.5 deg, intensity 33, hkl 2 1 7
43.5 deg, intensity 22, hkl 1 0 9
57.0 deg, intensity 19, hkl 2 0 0
49.8 deg, intensity 10, hkl 1 1 8
29.7 deg, intensity 10, hkl 1 0 3
40.1 deg, intensity 10, hkl 1 1 2
67.5 deg, intensity 10, hkl 1 1 14
74.4 deg, intensity 9, hkl 2 1 9

Crystal structure
Cell: 3.231 3.231 24.449 Å, 90.00 90.00 90.00°
Space group I4/mmm (No. 139)
Symmetry-distinct sites (fractional):
Pm (0.000, 0.000, 0.073)
Ir (0.000, 0.000, 0.340)
W (0.000, 0.000, 0.215)

# GaPb2Au3
Calculated powder diffraction line list, copper Kα. Input: a cell relaxed with PBE.
Intensities are scaled so that the largest is 100.

Most intense lines, 2θ = 10–90°, in order of falling intensity:
38.1 deg, intensity 100, hkl 5 1 0
37.7 deg, intensity 83, hkl 3 1 2
28.5 deg, intensity 75, hkl 3 1 1
29.1 deg, intensity 46, hkl 0 2 1
31.4 deg, intensity 40, hkl 2 0 2
44.5 deg, intensity 34, hkl 3 3 0
41.8 deg, intensity 33, hkl 1 3 1
41.2 deg, intensity 28, hkl 4 2 1
32.5 deg, intensity 28, hkl 2 2 1
47.9 deg, intensity 20, hkl 5 1 2

Crystal structure
Cell: 12.526 7.001 6.400 Å, 90.00 90.00 90.00°
Space group Cmc2_1 (No. 36)
Symmetry-distinct sites (fractional):
Ga (0.000, 0.216, 0.000)
Pb (0.180, 0.340, 0.624)
Au (0.000, 0.439, 0.330)
Au (0.117, 0.046, 0.309)

# AcNp2PdS5
Calculated powder diffraction line list, copper Kα. Input: a cell relaxed with PBE.
Intensities are scaled so that the largest is 100.

Most intense lines, 2θ = 10–90°, in order of falling intensity:
33.3 deg, intensity 100, hkl 2 1 3
27.2 deg, intensity 82, hkl 2 0 2
27.4 deg, intensity 71, hkl 2 1 1
26.5 deg, intensity 56, hkl 0 0 4
43.1 deg, intensity 44, hkl 2 1 5
21.3 deg, intensity 42, hkl 1 1 2
37.9 deg, intensity 41, hkl 3 1 0
50.5 deg, intensity 38, hkl 4 0 2
46.8 deg, intensity 25, hkl 3 1 4
33.8 deg, intensity 24, hkl 2 2 0

Crystal structure
Cell: 7.504 7.504 13.464 Å, 90.00 90.00 90.00°
Space group I4/mcm (No. 140)
Symmetry-distinct sites (fractional):
Ac (0.000, 0.000, 0.250)
Np (0.150, 0.350, 0.000)
Pd (0.000, 0.500, 0.250)
S (0.000, 0.000, 0.000)
S (0.166, 0.334, 0.368)

Copy entry 4 word for word.
# AcNp2PdS5
Calculated powder diffraction line list, copper Kα. Input: a cell relaxed with PBE.
Intensities are scaled so that the largest is 100.

Most intense lines, 2θ = 10–90°, in order of falling intensity:
33.3 deg, intensity 100, hkl 2 1 3
27.2 deg, intensity 82, hkl 2 0 2
27.4 deg, intensity 71, hkl 2 1 1
26.5 deg, intensity 56, hkl 0 0 4
43.1 deg, intensity 44, hkl 2 1 5
21.3 deg, intensity 42, hkl 1 1 2
37.9 deg, intensity 41, hkl 3 1 0
50.5 deg, intensity 38, hkl 4 0 2
46.8 deg, intensity 25, hkl 3 1 4
33.8 deg, intensity 24, hkl 2 2 0

Crystal structure
Cell: 7.504 7.504 13.464 Å, 90.00 90.00 90.00°
Space group I4/mcm (No. 140)
Symmetry-distinct sites (fractional):
Ac (0.000, 0.000, 0.250)
Np (0.150, 0.350, 0.000)
Pd (0.000, 0.500, 0.250)
S (0.000, 0.000, 0.000)
S (0.166, 0.334, 0.368)

Question: Which formula does entry 2 have?
Answer: PmIrW